No. 1
MgZr2H10S6O28: computed PXRD pattern (Cu Kα (λ = 1.5418 Å)), based on the PBE geometry in Alexandria.

Top 12 peaks for 15° ≤ 2θ ≤ 90°, sorted by position:
| 2θ/deg | intensity |
| --- | --- |
| 18.16 | 46.9 |
| 18.76 | 17.5 |
| 21.29 | 15.5 |
| 21.93 | 26.2 |
| 23.12 | 100.0 |
| 24.16 | 86.7 |
| 24.96 | 60.7 |
| 27.92 | 23.3 |
| 30.93 | 14.8 |
| 33.88 | 15.4 |
| 34.65 | 33.5 |
| 44.88 | 14.1 |

Cell and atoms:
```
MgZr2H10S6O28
1.0
5.3078 0.0000 0.0000
0.7027 9.0717 0.0000
0.0259 0.8492 12.6335
Mg Zr H S O
1 2 10 6 28
Cartesian
0.0000 0.0000 0.0000
2.8978 7.4411 7.6473
5.1635 0.2335 3.3479
0.7437 3.0103 7.5614
2.2030 4.8098 3.2512
3.1721 4.4064 4.3632
3.0322 1.5570 12.0674
3.8819 2.9309 12.3204
4.3952 6.4939 12.5379
4.0880 1.8164 10.2938
4.3935 5.5906 11.0548
5.3597 7.0031 11.3472
5.1183 3.3143 6.3867
2.7600 5.0455 9.1976
2.5195 1.1203 5.4526
3.2303 7.8341 1.2620
5.5614 9.0314 9.5193
5.1377 2.7461 1.8260
5.5358 6.5619 5.4758
0.4943 1.3402 1.4496
0.8482 3.7248 2.0420
1.4920 8.9079 8.7672
1.3573 6.9760 6.4295
1.2395 0.8683 4.6410
1.8138 3.9816 9.0202
2.0945 6.4212 9.4249
2.3406 8.1339 2.3986
2.6812 8.5523 0.0373
3.0621 9.4442 6.7217
2.9636 5.1434 3.7620
2.7816 2.5082 5.5966
3.3924 6.4249 1.0007
3.5480 5.3984 7.9303
3.6976 4.7479 10.3103
3.5605 0.3826 4.6365
3.8605 2.0441 11.7942
4.3107 7.1357 6.1185
4.5023 8.1466 8.9972
4.1536 3.0826 0.7928
4.6239 8.4741 1.5186
4.4505 2.2649 3.0988
4.4039 1.4160 9.3916
4.9837 6.1939 11.7767
5.7444 8.7326 10.9754
5.5010 5.1527 5.2901
5.3960 2.5888 6.9740
5.7812 7.3276 4.2123
```

---

No. 2
MgZr2H10S6O28: computed PXRD pattern (Cu Kα (λ = 1.5418 Å)), based on the PBE geometry in Alexandria.

Top 12 peaks for 15° ≤ 2θ ≤ 90°, sorted by position:
| 2θ/deg | intensity |
| --- | --- |
| 17.82 | 41.7 |
| 18.08 | 18.2 |
| 19.79 | 15.0 |
| 20.41 | 23.2 |
| 21.18 | 19.3 |
| 21.61 | 18.2 |
| 21.63 | 21.7 |
| 22.94 | 100.0 |
| 23.17 | 67.8 |
| 25.13 | 54.0 |
| 27.34 | 42.6 |
| 33.67 | 42.2 |

Cell and atoms:
```
MgZr2H10S6O28
1.0
5.3303 0.0000 0.0000
-0.3743 8.9648 0.0000
-0.2217 -1.3136 13.2710
Mg Zr H S O
1 2 10 6 28
Cartesian
0.0000 0.0000 0.0000
0.8175 2.8722 12.7036
3.4142 0.7524 8.3486
0.0847 5.1039 8.4292
0.7230 -0.2304 4.9448
0.7365 7.4552 3.8949
1.1415 7.3034 5.4824
1.4768 5.1895 9.0922
1.7831 3.8040 4.9662
1.9558 4.8124 3.5960
2.4635 3.2196 3.4990
2.5825 6.1655 12.7608
3.3358 6.2819 11.3849
0.7074 2.0624 6.4342
0.7360 0.0822 10.6694
0.6756 6.1984 1.4311
2.7026 1.6938 1.2704
3.1428 7.1523 7.1291
3.4780 3.6899 10.5720
-0.2370 7.3309 1.2741
-0.0357 4.8686 1.2101
0.2677 1.1176 11.6848
0.6749 1.2514 5.2184
0.4313 7.7157 4.8013
0.3214 7.7628 11.3710
0.6805 4.6333 9.0441
1.0378 3.4570 6.1454
1.3384 6.2167 2.7380
1.7336 0.6630 0.8612
1.6879 6.1626 0.2820
1.7708 1.4820 7.3816
2.0792 0.4603 10.1988
2.2710 3.0192 0.6028
2.1482 6.6250 6.1838
2.3481 4.0450 4.0989
2.2377 3.2617 11.3568
2.7074 1.9126 2.7114
2.4399 7.6385 8.4179
3.2976 5.0254 10.0730
3.2526 6.6954 12.2780
3.7040 2.6538 9.5678
4.0565 1.3896 0.7591
4.0281 -0.4271 6.6650
4.2191 6.2388 7.3716
4.5656 3.6692 11.6169
4.7592 2.0118 7.2071
5.1070 0.1067 9.5392
```

---

Please write out number 1 again, unchanged.
MgZr2H10S6O28: computed PXRD pattern (Cu Kα (λ = 1.5418 Å)), based on the PBE geometry in Alexandria.

Top 12 peaks for 15° ≤ 2θ ≤ 90°, sorted by position:
| 2θ/deg | intensity |
| --- | --- |
| 18.16 | 46.9 |
| 18.76 | 17.5 |
| 21.29 | 15.5 |
| 21.93 | 26.2 |
| 23.12 | 100.0 |
| 24.16 | 86.7 |
| 24.96 | 60.7 |
| 27.92 | 23.3 |
| 30.93 | 14.8 |
| 33.88 | 15.4 |
| 34.65 | 33.5 |
| 44.88 | 14.1 |

Cell and atoms:
```
MgZr2H10S6O28
1.0
5.3078 0.0000 0.0000
0.7027 9.0717 0.0000
0.0259 0.8492 12.6335
Mg Zr H S O
1 2 10 6 28
Cartesian
0.0000 0.0000 0.0000
2.8978 7.4411 7.6473
5.1635 0.2335 3.3479
0.7437 3.0103 7.5614
2.2030 4.8098 3.2512
3.1721 4.4064 4.3632
3.0322 1.5570 12.0674
3.8819 2.9309 12.3204
4.3952 6.4939 12.5379
4.0880 1.8164 10.2938
4.3935 5.5906 11.0548
5.3597 7.0031 11.3472
5.1183 3.3143 6.3867
2.7600 5.0455 9.1976
2.5195 1.1203 5.4526
3.2303 7.8341 1.2620
5.5614 9.0314 9.5193
5.1377 2.7461 1.8260
5.5358 6.5619 5.4758
0.4943 1.3402 1.4496
0.8482 3.7248 2.0420
1.4920 8.9079 8.7672
1.3573 6.9760 6.4295
1.2395 0.8683 4.6410
1.8138 3.9816 9.0202
2.0945 6.4212 9.4249
2.3406 8.1339 2.3986
2.6812 8.5523 0.0373
3.0621 9.4442 6.7217
2.9636 5.1434 3.7620
2.7816 2.5082 5.5966
3.3924 6.4249 1.0007
3.5480 5.3984 7.9303
3.6976 4.7479 10.3103
3.5605 0.3826 4.6365
3.8605 2.0441 11.7942
4.3107 7.1357 6.1185
4.5023 8.1466 8.9972
4.1536 3.0826 0.7928
4.6239 8.4741 1.5186
4.4505 2.2649 3.0988
4.4039 1.4160 9.3916
4.9837 6.1939 11.7767
5.7444 8.7326 10.9754
5.5010 5.1527 5.2901
5.3960 2.5888 6.9740
5.7812 7.3276 4.2123
```

---

> Number 2 is which compound?

MgZr2H10S6O28

---

> What is the formula in the second record?

MgZr2H10S6O28